# 1
Sr2B5H2O11: simulated XRD peak list (Cu Kα, 1.54184 Å), based on a PBE-relaxed structure.
Peak positions follow from Bragg's law for the DFT cell and can differ from measured ones.

Top 10 peaks for 10 to 90 degrees two-theta, most intense first:
2θ (°), I_rel
31.07, 100
21.83, 87
28.28, 81
27.93, 62
27.75, 54
15.39, 49
17.78, 46
42.70, 45
31.67, 38
44.94, 31

Atomic structure:
Cell: 6.5496 6.5496 6.4301 Å, 118.49 118.49 76.93°
Atoms (fractional coordinates):
Sr1 0.2041 0.2041 0.4153
Sr2 0.7959 0.7959 0.5847
B1 0.2987 0.2324 0.0037
B2 0.6165 0.3835 0.0000
B3 0.7087 0.1421 0.2443
B4 0.7676 0.7013 0.9963
B5 0.8579 0.2913 0.7557
H1 0.2625 0.6709 0.2521
H2 0.3291 0.7375 0.7479
O1 0.0703 0.2173 0.9478
O2 0.1997 0.6534 0.5802
O3 0.3466 0.8003 0.4198
O4 0.3648 0.3477 0.9146
O5 0.4568 0.1326 0.1674
O6 0.6523 0.6352 0.0854
O7 0.6568 0.2389 0.7650
O8 0.7611 0.3432 0.2350
O9 0.7827 0.9297 0.0522
O10 0.8576 0.1424 0.5000
O11 0.8674 0.5432 0.8326

***

# 2
ThB2HO6: simulated XRD peak list (Cu Kα, 1.54184 Å), based on a PBE-relaxed structure.
Peak positions follow from Bragg's law for the DFT cell and can differ from measured ones.

Top 10 peaks for 10 to 90 degrees two-theta, most intense first:
2θ (°), I_rel
25.41, 100
17.45, 98
21.41, 84
20.12, 75
26.99, 73
21.70, 52
32.77, 36
35.78, 35
26.52, 34
33.21, 29

Atomic structure:
Cell: 4.6059 4.7082 5.5748 Å, 65.79 82.38 73.37°
Atoms (fractional coordinates):
Th1 0.0000 0.0000 0.0000
B1 0.3399 0.3006 0.2928
B2 0.7000 0.8447 0.6409
H1 0.4663 0.5104 0.5160
O1 0.1346 0.3910 0.1031
O2 0.3132 0.5330 0.3923
O3 0.5107 0.9325 0.8460
O4 0.5739 0.0235 0.3593
O5 0.7327 0.5024 0.7124
O6 0.9826 0.9340 0.6216

***

# 3
UBH2O6: simulated XRD peak list (Cu Kα, 1.54184 Å), based on a PBE-relaxed structure.
Peak positions follow from Bragg's law for the DFT cell and can differ from measured ones.

Top 10 peaks for 10 to 90 degrees two-theta, most intense first:
2θ (°), I_rel
17.29, 100
20.14, 100
16.78, 99
21.90, 60
22.57, 56
25.85, 45
27.67, 40
41.62, 36
29.48, 34
29.66, 33

Atomic structure:
Cell: 4.3463 5.5472 5.7134 Å, 106.05 109.61 91.56°
Atoms (fractional coordinates):
U1 0.0000 0.0000 0.0000
B1 0.3787 0.5620 0.6202
H1 0.0684 0.2694 0.5478
H2 0.5609 0.3470 0.0900
O1 0.0149 0.7968 0.2010
O2 0.2103 0.3266 0.4625
O3 0.3062 0.6988 0.8301
O4 0.5638 0.1763 0.1072
O5 0.6385 0.6938 0.6095
O6 0.9452 0.2060 0.7935

***

# 4
YB6H3O12: simulated XRD peak list (Cu Kα, 1.54184 Å), based on a PBE-relaxed structure.
Peak positions follow from Bragg's law for the DFT cell and can differ from measured ones.

Top 10 peaks for 10 to 90 degrees two-theta, most intense first:
2θ (°), I_rel
14.75, 100
25.62, 24
29.76, 18
36.61, 17
45.31, 14
33.50, 13
24.57, 12
42.80, 11
50.37, 9
21.02, 8

Atomic structure:
Cell: 8.4522 8.4522 8.4522 Å, 60.61 60.61 60.61°
Atoms (fractional coordinates):
Y1 0.0000 0.0000 0.0000
Y2 0.5000 0.5000 0.5000
B1 0.0990 0.8752 0.6225
B2 0.1225 0.3752 0.5990
B3 0.1263 0.7105 0.4126
B4 0.2105 0.6263 0.9126
B5 0.3752 0.5990 0.1225
B6 0.4126 0.1263 0.7105
B7 0.5990 0.1225 0.3752
B8 0.6225 0.0990 0.8752
B9 0.6263 0.9126 0.2105
B10 0.7105 0.4126 0.1263
B11 0.8752 0.6225 0.0990
B12 0.9126 0.2105 0.6263
H1 0.3585 0.9866 0.9958
H2 0.4866 0.8585 0.4958
H3 0.4958 0.4866 0.8585
H4 0.8585 0.4958 0.4866
H5 0.9866 0.9958 0.3585
H6 0.9958 0.3585 0.9866
O1 0.0002 0.0609 0.5356
O2 0.0153 0.8976 0.3082
O3 0.0356 0.5609 0.5002
O4 0.0591 0.2255 0.6608
O5 0.0609 0.5356 0.0002
O6 0.1396 0.8281 0.7834
O7 0.1608 0.7255 0.5591
O8 0.2255 0.6608 0.0591
O9 0.2834 0.3281 0.6396
O10 0.3082 0.0153 0.8976
O11 0.3281 0.6396 0.2834
O12 0.3976 0.5153 0.8082
O13 0.5002 0.0356 0.5609
O14 0.5153 0.8082 0.3976
O15 0.5356 0.0002 0.0609
O16 0.5591 0.1608 0.7255
O17 0.5609 0.5002 0.0356
O18 0.6396 0.2834 0.3281
O19 0.6608 0.0591 0.2255
O20 0.7255 0.5591 0.1608
O21 0.7834 0.1396 0.8281
O22 0.8082 0.3976 0.5153
O23 0.8281 0.7834 0.1396
O24 0.8976 0.3082 0.0153

***

# 5
Zn8B3H3O14: simulated XRD peak list (Cu Kα, 1.54184 Å), based on a PBE-relaxed structure.
Peak positions follow from Bragg's law for the DFT cell and can differ from measured ones.

Top 10 peaks for 10 to 90 degrees two-theta, most intense first:
2θ (°), I_rel
38.97, 100
34.68, 77
13.34, 70
15.88, 52
21.53, 51
30.05, 44
53.25, 42
25.41, 37
37.26, 33
32.08, 33

Atomic structure:
Cell: 7.6225 7.6225 7.6225 Å, 65.58 65.58 65.58°
Atoms (fractional coordinates):
Zn1 0.0185 0.4561 0.2702
Zn2 0.0919 0.0919 0.0919
Zn3 0.2702 0.0185 0.4561
Zn4 0.4561 0.2702 0.0185
Zn5 0.5439 0.9815 0.7298
Zn6 0.7298 0.5439 0.9815
Zn7 0.9081 0.9081 0.9081
Zn8 0.9815 0.7298 0.5439
B1 0.0000 0.2979 0.7021
B2 0.2979 0.7021 0.0000
B3 0.7021 0.0000 0.2979
H1 0.3579 0.6421 0.5000
H2 0.5000 0.3579 0.6421
H3 0.6421 0.5000 0.3579
O1 0.0000 0.4671 0.5329
O2 0.0422 0.1112 0.6818
O3 0.1112 0.6818 0.0422
O4 0.2039 0.2039 0.2039
O5 0.2410 0.7590 0.5000
O6 0.3182 0.8888 0.9578
O7 0.4671 0.5329 0.0000
O8 0.5000 0.2410 0.7590
O9 0.5329 0.0000 0.4671
O10 0.6818 0.0422 0.1112
O11 0.7590 0.5000 0.2410
O12 0.7961 0.7961 0.7961
O13 0.8888 0.9578 0.3182
O14 0.9578 0.3182 0.8888

***

# 6
PaBH4: simulated XRD peak list (Cu Kα, 1.54184 Å), based on a PBE-relaxed structure.
Peak positions follow from Bragg's law for the DFT cell and can differ from measured ones.

Top 10 peaks for 10 to 90 degrees two-theta, most intense first:
2θ (°), I_rel
25.60, 100
32.39, 76
53.72, 52
25.79, 40
35.31, 38
39.11, 26
33.77, 25
56.93, 24
40.53, 18
47.43, 17

Atomic structure:
Cell: 5.6143 5.6143 4.6085 Å, 90.00 90.00 142.03°
Atoms (fractional coordinates):
Pa1 0.1400 0.8600 0.5000
Pa2 0.8600 0.1400 0.0000
B1 0.4126 0.5874 0.4280
B2 0.5874 0.4126 0.9280
H1 0.0648 0.9352 0.9502
H2 0.2406 0.7594 0.9876
H3 0.3486 0.6514 0.6661
H4 0.4735 0.5265 0.0193
H5 0.5265 0.4735 0.5193
H6 0.6514 0.3486 0.1661
H7 0.7594 0.2406 0.4876
H8 0.9352 0.0648 0.4502

***

# 7
PaB2H8: simulated XRD peak list (Cu Kα, 1.54184 Å), based on a PBE-relaxed structure.
Peak positions follow from Bragg's law for the DFT cell and can differ from measured ones.

Top 10 peaks for 10 to 90 degrees two-theta, most intense first:
2θ (°), I_rel
25.83, 100
15.71, 98
27.42, 71
33.09, 61
36.82, 44
47.51, 38
44.54, 27
55.71, 23
45.51, 22
50.32, 19

Atomic structure:
Cell: 4.0675 4.0675 6.1055 Å, 109.36 109.36 60.06°
Atoms (fractional coordinates):
Pa1 0.0000 0.0000 0.0000
B1 0.2361 0.2361 0.7078
B2 0.7639 0.7639 0.2922
H1 0.0793 0.5714 0.2226
H2 0.1633 0.1633 0.4902
H3 0.4284 0.4284 0.7765
H4 0.4286 0.9207 0.7774
H5 0.5714 0.0793 0.2226
H6 0.5716 0.5716 0.2235
H7 0.8367 0.8367 0.5098
H8 0.9207 0.4286 0.7774